This entry pairs a crystal structure of Li3Cr2Fe2O8 with its theoretical powder XRD pattern. Radiation: λ = 1.5418 Å (Cu Kα). Structure: a crystal structure in Alexandria, relaxed with GGA+U.

Largest 10 diffraction maxima, in order of falling intensity, 10° ≤ 2θ ≤ 80°:
2θ (°)	d [Å]	intensity
18.24	4.865	100
42.89	2.109	47
43.05	2.101	23
35.28	2.544	20
62.47	1.487	19
35.38	2.537	15
62.29	1.491	12
36.92	2.435	11
56.69	1.624	9
78.59	1.217	8

Crystal structure
Cell: 5.9443 5.9443 5.9508 Å, 119.84 119.84 60.36°
Positions (direct):
Li 0.0000 0.0000 0.0000
Li 0.0000 0.5000 0.5000
Li 0.5000 0.0000 0.5000
Cr 0.5000 0.5000 0.0000
Cr 0.5000 0.5000 0.5000
Fe 0.0000 0.5000 0.0000
Fe 0.5000 0.0000 0.0000
O 0.2574 0.2574 0.2412
O 0.2695 0.2695 0.7817
O 0.2707 0.7156 0.2335
O 0.2844 0.7293 0.7665
O 0.7156 0.2707 0.2335
O 0.7293 0.2844 0.7665
O 0.7305 0.7305 0.2183
O 0.7426 0.7426 0.7588

This entry pairs a crystal structure of Li8CrFe3O12 with its theoretical powder XRD pattern. Radiation: λ = 1.5418 Å (Cu Kα). Structure: a crystal structure in Alexandria, relaxed with GGA+U.

Largest 10 diffraction maxima, in order of falling intensity, 10° ≤ 2θ ≤ 80°:
2θ (°)	d [Å]	intensity
20.93	4.244	100
33.48	2.677	35
52.96	1.729	17
42.37	2.133	17
53.04	1.727	16
41.50	2.176	14
65.93	1.417	11
37.06	2.426	11
21.26	4.179	10
52.43	1.745	8

Crystal structure
Cell: 4.9221 8.3570 4.9366 Å, 90.00 90.16 90.00°
Positions (direct):
Li 0.0000 0.0000 0.0000
Li 0.0000 0.1483 0.5000
Li 0.0000 0.3114 0.0000
Li 0.0000 0.8344 0.5000
Li 0.5000 0.3345 0.0000
Li 0.5000 0.4951 0.5000
Li 0.5000 0.6452 0.0000
Li 0.5000 0.8098 0.5000
Cr 0.0000 0.6621 0.0000
Fe 0.0000 0.4841 0.5000
Fe 0.5000 0.1606 0.5000
Fe 0.5000 0.9851 0.0000
O 0.2146 0.4986 0.1715
O 0.2198 0.6466 0.6668
O 0.2465 0.3205 0.6507
O 0.2499 0.8226 0.1461
O 0.2848 0.9986 0.6726
O 0.2863 0.1485 0.1718
O 0.7137 0.1485 0.8282
O 0.7152 0.9986 0.3274
O 0.7501 0.8226 0.8539
O 0.7535 0.3205 0.3493
O 0.7802 0.6466 0.3332
O 0.7854 0.4986 0.8285

This entry pairs a crystal structure of Li5Cr2Fe5O12 with its theoretical powder XRD pattern. Radiation: λ = 1.5418 Å (Cu Kα). Structure: a crystal structure in Alexandria, relaxed with GGA+U.

Largest 10 diffraction maxima, in order of falling intensity, 10° ≤ 2θ ≤ 80°:
2θ (°)	d [Å]	intensity
42.44	2.130	100
62.57	1.485	52
43.73	2.070	47
18.29	4.851	31
23.60	3.769	30
36.71	2.448	23
19.50	4.553	22
37.09	2.424	22
20.77	4.277	18
62.08	1.495	14

Crystal structure
Cell: 5.2194 5.2194 9.8845 Å, 95.36 95.36 121.46°
Positions (direct):
Li 0.0000 0.0000 0.0000
Li 0.2479 0.2517 0.7536
Li 0.4152 0.0737 0.2481
Li 0.7483 0.7521 0.2464
Li 0.9263 0.5848 0.7519
Cr 0.3335 0.6665 0.0000
Cr 0.8376 0.1624 0.5000
Fe 0.0874 0.4075 0.2462
Fe 0.1652 0.8348 0.5000
Fe 0.5082 0.4918 0.5000
Fe 0.5925 0.9126 0.7538
Fe 0.6620 0.3380 0.0000
O 0.0470 0.6837 0.1221
O 0.1038 0.1266 0.3709
O 0.2158 0.5374 0.6256
O 0.3163 0.9530 0.8779
O 0.3732 0.3887 0.1183
O 0.4626 0.7842 0.3744
O 0.5623 0.1934 0.6235
O 0.6113 0.6268 0.8817
O 0.7004 0.0533 0.1188
O 0.8066 0.4377 0.3765
O 0.8734 0.8962 0.6291
O 0.9467 0.2996 0.8812

This entry pairs a crystal structure of Li3Cr10Fe5O24 with its theoretical powder XRD pattern. Radiation: λ = 1.5418 Å (Cu Kα). Structure: a crystal structure in Alexandria, relaxed with GGA+U.

Largest 10 diffraction maxima, in order of falling intensity, 10° ≤ 2θ ≤ 80°:
2θ (°)	d [Å]	intensity
35.31	2.542	100
18.24	4.864	73
42.94	2.106	59
56.75	1.622	38
62.24	1.492	34
62.46	1.487	34
35.41	2.535	33
21.09	4.212	24
36.92	2.434	13
56.86	1.619	10

Crystal structure
Cell: 5.9653 5.9653 14.5458 Å, 90.02 90.02 60.03°
Positions (direct):
Li 0.0000 0.0000 0.0000
Li 0.3328 0.3328 0.3327
Li 0.6664 0.6664 0.6659
Cr 0.9998 0.9998 0.3706
Cr 0.1698 0.1698 0.5416
Cr 0.1698 0.6589 0.5415
Cr 0.3258 0.8358 0.2070
Cr 0.3329 0.3329 0.7058
Cr 0.5044 0.5044 0.8760
Cr 0.5044 0.9904 0.8765
Cr 0.6589 0.1698 0.5415
Cr 0.8358 0.3258 0.2070
Cr 0.9904 0.5044 0.8765
Fe 0.9998 0.9998 0.7496
Fe 0.3317 0.3317 0.0817
Fe 0.6655 0.6655 0.0381
Fe 0.6658 0.6658 0.4147
Fe 0.8381 0.8381 0.2077
O 0.0000 0.0000 0.1346
O 0.9995 0.9995 0.6159
O 0.0327 0.4830 0.6206
O 0.1508 0.1508 0.2856
O 0.1528 0.6952 0.2870
O 0.1765 0.1765 0.7950
O 0.1767 0.6457 0.7947
O 0.3134 0.8430 0.4591
O 0.3320 0.3320 0.9502
O 0.3328 0.3328 0.4696
O 0.3689 0.8158 0.9559
O 0.4830 0.0327 0.6206
O 0.4830 0.4830 0.6205
O 0.5090 0.9742 0.1232
O 0.5103 0.5103 0.1244
O 0.6457 0.1767 0.7947
O 0.6651 0.6651 0.2821
O 0.6673 0.6673 0.8035
O 0.6952 0.1528 0.2870
O 0.8145 0.8145 0.9555
O 0.8158 0.3689 0.9559
O 0.8424 0.8424 0.4589
O 0.8430 0.3134 0.4591
O 0.9742 0.5090 0.1232

This entry pairs a crystal structure of Li4Cr3Fe2Sb3O16 with its theoretical powder XRD pattern. Radiation: λ = 1.5418 Å (Cu Kα). Structure: a crystal structure in Alexandria, relaxed with GGA+U.

Largest 10 diffraction maxima, in order of falling intensity, 10° ≤ 2θ ≤ 80°:
2θ (°)	d [Å]	intensity
17.86	4.967	100
19.08	4.653	60
43.96	2.060	41
24.66	3.610	32
35.15	2.553	27
35.01	2.563	27
18.94	4.686	26
35.31	2.542	25
31.96	2.800	23
34.51	2.599	23

Crystal structure
Cell: 6.0801 6.0915 9.9350 Å, 90.21 90.30 119.55°
Positions (direct):
Li 0.0000 0.0000 0.0000
Li 0.0065 0.9995 0.5137
Li 0.3465 0.6633 0.4121
Li 0.6782 0.3313 0.8739
Cr 0.1829 0.3305 0.7234
Cr 0.6771 0.8247 0.7235
Cr 0.8503 0.1592 0.2264
Fe 0.3606 0.6489 0.9865
Fe 0.6920 0.3188 0.5239
Sb 0.1839 0.8250 0.7239
Sb 0.3553 0.1580 0.2241
Sb 0.8502 0.6529 0.2242
O 0.0158 0.9951 0.8217
O 0.0237 0.9875 0.3294
O 0.0456 0.5148 0.8397
O 0.1700 0.2976 0.1202
O 0.1719 0.8348 0.1100
O 0.3248 0.1431 0.6119
O 0.3453 0.6595 0.6141
O 0.4958 0.9635 0.8408
O 0.4972 0.5133 0.8393
O 0.5334 0.4762 0.3409
O 0.5342 0.0193 0.3308
O 0.6792 0.3264 0.1120
O 0.7076 0.8311 0.1193
O 0.8553 0.1478 0.6139
O 0.8628 0.6832 0.6109
O 0.9917 0.4812 0.3321